Ba2Si3Ni: theoretical PXRD pattern (CuKα), based on the GGA-PBE geometry in OQMD.

Atomic structure:
a b c (Å): 11.4320 11.4320 3.9198
angles (deg): 90.00 90.00 120.00
Space group P-62m (No. 189)
Symmetry-distinct sites (fractional):
Ba (0.0000, 0.2872, 0.0000) (multiplicity 3)
Ba (0.0000, 0.6180, 0.0000) (multiplicity 3)
Si (0.0000, 0.8764, 0.5000) (multiplicity 3)
Si (0.2202, 0.5364, 0.5000) (multiplicity 6)
Ni (0.0000, 0.0000, 0.0000) (multiplicity 1)
Ni (0.3333, 0.6667, 0.0000) (multiplicity 2)

The 10 most intense peaks (10° ≤ 2θ ≤ 80°), most intense first:
d_spacing  I_rel  (hkl)
2.525  1000  3 0 1
3.300  883  3 0 0
2.707  515  2 1 1
3.920  403  0 0 1
1.689  329  4 2 1
3.742  300  2 1 0
2.746  268  3 1 0
3.233  249  1 1 1
1.685  244  3 0 2
1.619  197  5 1 1